# Ba11CdIr2
Theoretical powder XRD pattern, λ = 1.5418 Å (Cu Kα). Input: a GGA-PBE-relaxed structure.
Lines closer than 0.1° are merged.

Crystal structure
```
28
Lattice="-7.2036 7.2232 7.9843 7.2036 -7.2232 7.9843 7.2036 7.2232 -7.9843" Properties=species:S:1:pos:R:3 pbc="T T T"
Ba 0.0000 0.0000 0.0000
Ba 10.3940 -0.9429 2.1488
Ba 8.1863 3.2233 -2.1670
Ba 8.1863 -3.2233 5.8173
Ba 4.4344 -4.4104 7.9843
Ba 4.0132 0.9429 2.1488
Ba 4.0132 -0.9429 5.8355
Ba 4.4344 4.4104 0.0000
Ba 8.1863 3.2233 2.1670
Ba 0.9827 3.9999 2.1670
Ba 3.1904 8.1660 -2.1488
Ba 0.0000 0.0000 7.9843
Ba 4.0132 -0.9429 10.1331
Ba 6.2209 3.2233 5.8173
Ba -0.9827 3.9999 5.8173
Ba 2.7692 2.8127 7.9843
Ba 3.1904 8.1660 2.1488
Ba 3.1904 6.2803 5.8355
Ba 2.7692 11.6336 0.0000
Ba -0.9827 10.4464 2.1670
Ba -0.9827 3.9999 10.1513
Ba -3.1904 8.1660 5.8355
Cd 7.2036 0.0000 3.9922
Cd 0.0000 7.2232 3.9922
Ir 2.3212 2.3065 0.0000
Ir 2.3212 -2.3065 7.9843
Ir 4.8824 9.5296 0.0000
Ir 4.8824 4.9167 7.9843
```

Main lines, in order of rising 2θ (2θ from 10° to 80°):
2θ = 11.08°, d = 7.984 Å, rel. 48; 2θ = 14.09°, d = 6.287 Å, rel. 70; 2θ = 14.81°, d = 5.982 Å, rel. 83; 2θ = 26.07°, d = 3.418 Å, rel. 37; 2θ = 27.65°, d = 3.226 Å, rel. 36; 2θ = 27.89°, d = 3.198 Å, rel. 51; 2θ = 28.39°, d = 3.144 Å, rel. 100; 2θ = 28.53°, d = 3.129 Å, rel. 51; 2θ = 29.74°, d = 3.004 Å, rel. 32; 2θ = 30.58°, d = 2.924 Å, rel. 40; 2θ = 43.96°, d = 2.060 Å, rel. 50; 2θ = 45.46°, d = 1.995 Å, rel. 38